Dy2B4O9: computed powder XRD pattern (a wavelength of 1.5418 Å), based on a crystal structure in OQMD, relaxed with GGA-PBE.

Peak list (6 most intense, 15° ≤ 2θ ≤ 90°, by intensity)
2θ 30.23, intensity 100; 2θ 29.07, intensity 56; 2θ 17.69, intensity 50; 2θ 23.66, intensity 47; 2θ 29.74, intensity 45; 2θ 26.71, intensity 44

Crystal structure
```
Dy2B4O9
1.0
6.1286 0.0000 0.0000
-1.3882 6.2345 0.0000
-0.9432 -1.8852 7.1472
Dy B O
4 8 18
Direct
0.0491 0.0916 0.2867
0.3877 0.6773 0.3602
0.6123 0.3227 0.6398
0.9509 0.9084 0.7133
0.1256 0.3569 0.6504
0.1615 0.6838 0.9275
0.2335 0.3342 0.9809
0.4951 0.1444 0.1896
0.5049 0.8556 0.8104
0.7665 0.6658 0.0191
0.8385 0.3162 0.0725
0.8744 0.6431 0.3496
0.0040 0.7915 0.0219
0.0381 0.5385 0.7475
0.0817 0.8188 0.4463
0.2655 0.2631 0.7877
0.2756 0.5734 0.0415
0.2802 0.4067 0.5221
0.3119 0.8727 0.8809
0.3635 0.2847 0.1446
0.4318 0.0445 0.3261
0.5682 0.9555 0.6739
0.6365 0.7153 0.8554
0.6881 0.1273 0.1191
0.7198 0.5933 0.4779
0.7244 0.4266 0.9585
0.7345 0.7369 0.2123
0.9183 0.1812 0.5537
0.9619 0.4615 0.2525
0.9960 0.2085 0.9781
```



DyBPO: computed powder XRD pattern (a wavelength of 1.5418 Å), based on a crystal structure in OQMD, relaxed with GGA-PBE.

Peak list (6 most intense, 15° ≤ 2θ ≤ 90°, by intensity)
2θ 34.35, intensity 100; 2θ 26.12, intensity 88; 2θ 32.44, intensity 52; 2θ 59.10, intensity 41; 2θ 46.53, intensity 31; 2θ 51.17, intensity 26

Crystal structure
```
DyBPO
1.0
3.9032 0.0000 0.0000
0.0000 3.9032 0.0000
0.0000 0.0000 7.0222
Dy B P O
2 2 2 2
Direct
0.2500 0.2500 0.1585
0.7500 0.7500 0.8415
0.2500 0.7500 0.5000
0.7500 0.2500 0.5000
0.2500 0.2500 0.6007
0.7500 0.7500 0.3993
0.2500 0.7500 0.0000
0.7500 0.2500 0.0000
```



DyBPd3: computed powder XRD pattern (a wavelength of 1.5418 Å), based on a crystal structure in OQMD, relaxed with GGA-PBE.

Peak list (6 most intense, 15° ≤ 2θ ≤ 90°, by intensity)
2θ 36.54, intensity 100; 2θ 45.21, intensity 25; 2θ 77.73, intensity 25; 2θ 59.42, intensity 16; 2θ 65.67, intensity 9; 2θ 65.86, intensity 8

Crystal structure
```
DyBPd3
1.0
4.0111 0.0000 0.0000
0.0000 4.0111 0.0000
0.0000 0.0000 4.9292
Dy B Pd
1 1 3
Direct
0.0000 0.0000 0.0000
0.5000 0.5000 0.6789
0.0000 0.5000 0.5069
0.5000 0.0000 0.5069
0.5000 0.5000 0.1035
```



PrDyB4: computed powder XRD pattern (a wavelength of 1.5418 Å), based on a crystal structure in OQMD, relaxed with GGA-PBE.

Peak list (6 most intense, 15° ≤ 2θ ≤ 90°, by intensity)
2θ 38.49, intensity 100; 2θ 31.16, intensity 71; 2θ 22.03, intensity 48; 2θ 55.69, intensity 29; 2θ 60.39, intensity 20; 2θ 55.45, intensity 19

Crystal structure
```
PrDyB4
1.0
3.3142 0.0000 0.0000
-1.6571 2.8702 0.0000
0.0000 0.0000 8.0699
Pr Dy B
1 1 4
Direct
0.0000 0.0000 0.0000
0.0000 0.0000 0.5000
0.3333 0.6667 0.2638
0.3333 0.6667 0.7362
0.6667 0.3333 0.2638
0.6667 0.3333 0.7362
```



Dy3ReB7: computed powder XRD pattern (a wavelength of 1.5418 Å), based on a crystal structure in OQMD, relaxed with GGA-PBE.

Peak list (6 most intense, 15° ≤ 2θ ≤ 90°, by intensity)
2θ 25.84, intensity 100; 2θ 38.97, intensity 76; 2θ 29.65, intensity 69; 2θ 30.86, intensity 64; 2θ 39.50, intensity 58; 2θ 34.11, intensity 31

Crystal structure
```
Dy3ReB7
1.0
1.7664 -7.8853 0.0000
1.7664 7.8853 0.0000
0.0000 0.0000 9.3460
Dy Re B
6 2 14
Direct
0.1053 0.8947 0.5599
0.1053 0.8947 0.9401
0.2423 0.7577 0.2500
0.7577 0.2423 0.7500
0.8947 0.1053 0.0599
0.8947 0.1053 0.4401
0.0532 0.9468 0.2500
0.9468 0.0532 0.7500
0.2731 0.7269 0.5332
0.2731 0.7269 0.9668
0.3679 0.6321 0.6506
0.3679 0.6321 0.8494
0.4571 0.5429 0.2500
0.4794 0.5206 0.5954
0.4794 0.5206 0.9046
0.5206 0.4794 0.0954
0.5206 0.4794 0.4046
0.5429 0.4571 0.7500
0.6321 0.3679 0.1506
0.6321 0.3679 0.3494
0.7269 0.2731 0.0332
0.7269 0.2731 0.4668
```



Dy2ReB6: computed powder XRD pattern (a wavelength of 1.5418 Å), based on a crystal structure in OQMD, relaxed with GGA-PBE.

Peak list (6 most intense, 15° ≤ 2θ ≤ 90°, by intensity)
2θ 24.20, intensity 100; 2θ 39.14, intensity 76; 2θ 30.29, intensity 62; 2θ 40.95, intensity 38; 2θ 32.53, intensity 30; 2θ 41.48, intensity 30

Crystal structure
```
Dy2ReB6
1.0
9.1664 0.0000 0.0000
0.0000 11.5439 0.0000
0.0000 0.0000 3.6782
Dy Re B
8 4 24
Direct
0.0571 0.1302 0.0000
0.1765 0.4139 0.0000
0.3235 0.9139 0.0000
0.4429 0.6302 0.0000
0.5571 0.3698 0.0000
0.6765 0.0861 0.0000
0.8235 0.5861 0.0000
0.9429 0.8698 0.0000
0.1385 0.6792 0.0000
0.3615 0.1792 0.0000
0.6385 0.8208 0.0000
0.8615 0.3208 0.0000
0.0173 0.2882 0.5000
0.0533 0.5670 0.5000
0.1001 0.9721 0.5000
0.1311 0.8144 0.5000
0.2080 0.2347 0.5000
0.2491 0.5814 0.5000
0.2509 0.0814 0.5000
0.2920 0.7347 0.5000
0.3689 0.3144 0.5000
0.3999 0.4721 0.5000
0.4467 0.0670 0.5000
0.4827 0.7882 0.5000
0.5173 0.2118 0.5000
0.5533 0.9330 0.5000
0.6001 0.5279 0.5000
0.6311 0.6856 0.5000
0.7080 0.2653 0.5000
0.7491 0.9186 0.5000
0.7509 0.4186 0.5000
0.7920 0.7653 0.5000
0.8689 0.1856 0.5000
0.8999 0.0279 0.5000
0.9467 0.4330 0.5000
0.9827 0.7118 0.5000
```



SmDyB4: computed powder XRD pattern (a wavelength of 1.5418 Å), based on a crystal structure in OQMD, relaxed with GGA-PBE.

Peak list (6 most intense, 15° ≤ 2θ ≤ 90°, by intensity)
2θ 38.81, intensity 100; 2θ 31.19, intensity 73; 2θ 22.52, intensity 47; 2θ 56.60, intensity 28; 2θ 60.66, intensity 21; 2θ 55.51, intensity 19

Crystal structure
```
SmDyB4
1.0
3.3101 0.0000 0.0000
0.0000 5.7364 0.0000
0.0000 0.0000 7.8972
Sm Dy B
2 2 8
Direct
0.0000 0.0000 0.0000
0.5000 0.5000 0.5000
0.0000 0.0000 0.5000
0.5000 0.5000 0.0000
0.0000 0.3334 0.2487
0.0000 0.3334 0.7513
0.0000 0.6666 0.2487
0.0000 0.6666 0.7513
0.5000 0.1666 0.2513
0.5000 0.1666 0.7487
0.5000 0.8334 0.2513
0.5000 0.8334 0.7487
```



DyTc4B4: computed powder XRD pattern (a wavelength of 1.5418 Å), based on a crystal structure in OQMD, relaxed with GGA-PBE.

Peak list (6 most intense, 15° ≤ 2θ ≤ 90°, by intensity)
2θ 34.49, intensity 100; 2θ 38.72, intensity 77; 2θ 24.19, intensity 54; 2θ 44.39, intensity 44; 2θ 49.58, intensity 42; 2θ 72.72, intensity 38

Crystal structure
```
DyTc4B4
1.0
7.3532 0.0000 0.0000
0.0000 7.3532 0.0000
0.0000 0.0000 4.2496
Dy Tc B
2 8 8
Direct
0.2500 0.2500 0.2500
0.7500 0.7500 0.7500
0.1169 0.6242 0.1178
0.1242 0.8831 0.6178
0.3758 0.6169 0.6178
0.3831 0.8758 0.1178
0.6169 0.1242 0.8822
0.6242 0.3831 0.3822
0.8758 0.1169 0.3822
0.8831 0.3758 0.8822
0.0651 0.9255 0.1191
0.0745 0.5651 0.6191
0.4255 0.9349 0.6191
0.4349 0.5745 0.1191
0.5651 0.4255 0.8809
0.5745 0.0651 0.3809
0.9255 0.4349 0.3809
0.9349 0.0745 0.8809
```



DyTcB4: computed powder XRD pattern (a wavelength of 1.5418 Å), based on a crystal structure in OQMD, relaxed with GGA-PBE.

Peak list (6 most intense, 15° ≤ 2θ ≤ 90°, by intensity)
2θ 41.82, intensity 100; 2θ 32.94, intensity 75; 2θ 25.04, intensity 64; 2θ 42.16, intensity 48; 2θ 33.36, intensity 37; 2θ 62.40, intensity 24

Crystal structure
```
DyTcB4
1.0
3.1535 0.0000 0.0000
0.0000 5.3721 0.0000
0.0000 0.0000 7.1117
Dy Tc B
2 2 8
Direct
0.0000 0.0000 0.0000
0.5000 0.5000 0.5000
0.0000 0.0000 0.5000
0.5000 0.5000 0.0000
0.0000 0.3363 0.2488
0.0000 0.3363 0.7512
0.0000 0.6637 0.2488
0.0000 0.6637 0.7512
0.5000 0.1637 0.2512
0.5000 0.1637 0.7488
0.5000 0.8363 0.2512
0.5000 0.8363 0.7488
```



DyYB3: computed powder XRD pattern (a wavelength of 1.5418 Å), based on a crystal structure in OQMD, relaxed with GGA-PBE.

Peak list (6 most intense, 15° ≤ 2θ ≤ 90°, by intensity)
2θ 30.60, intensity 100; 2θ 26.59, intensity 94; 2θ 31.91, intensity 49; 2θ 34.66, intensity 49; 2θ 33.47, intensity 38; 2θ 23.76, intensity 36

Crystal structure
```
DyYB3
1.0
5.5539 0.0000 0.0000
0.0000 5.1760 0.0000
-1.2307 0.0000 5.6084
Dy Y B
2 2 6
Direct
0.0000 0.0000 0.0000
0.5000 0.5000 0.0000
0.1297 0.5000 0.4512
0.6297 0.0000 0.4512
0.1369 0.0000 0.4671
0.3131 0.0000 0.7239
0.4930 0.0000 0.9792
0.6369 0.5000 0.4671
0.8131 0.5000 0.7239
0.9930 0.5000 0.9792
```



Dy5Zn2B6: computed powder XRD pattern (a wavelength of 1.5418 Å), based on a crystal structure in OQMD, relaxed with GGA-PBE.

Peak list (6 most intense, 15° ≤ 2θ ≤ 90°, by intensity)
2θ 33.08, intensity 100; 2θ 39.30, intensity 48; 2θ 20.63, intensity 31; 2θ 30.83, intensity 27; 2θ 54.44, intensity 26; 2θ 46.07, intensity 24

Crystal structure
```
Dy5Zn2B6
1.0
2.7083 1.5636 8.6124
-2.7083 1.5636 8.6124
0.0000 -3.1273 8.6124
Dy Zn B
5 2 6
Direct
0.0000 0.0000 0.0000
0.2466 0.2466 0.2466
0.4237 0.4237 0.4237
0.5763 0.5763 0.5763
0.7534 0.7534 0.7534
0.1091 0.1091 0.1091
0.8909 0.8909 0.8909
0.1663 0.5000 0.8337
0.1663 0.8337 0.5000
0.5000 0.1663 0.8337
0.5000 0.8337 0.1663
0.8337 0.1663 0.5000
0.8337 0.5000 0.1663
```



Er2B5: computed powder XRD pattern (a wavelength of 1.5418 Å), based on a crystal structure in OQMD, relaxed with GGA-PBE.

Peak list (6 most intense, 15° ≤ 2θ ≤ 90°, by intensity)
2θ 38.87, intensity 100; 2θ 30.60, intensity 74; 2θ 23.39, intensity 61; 2θ 35.81, intensity 59; 2θ 26.73, intensity 56; 2θ 55.62, intensity 45

Crystal structure
```
Er2B5
1.0
3.2506 0.0000 0.0000
0.0000 6.6691 0.0000
0.0000 0.0000 7.6073
Er B
4 10
Direct
0.0000 0.0000 0.2456
0.0000 0.0000 0.7544
0.5000 0.5000 0.2544
0.5000 0.5000 0.7456
0.0000 0.2633 0.5000
0.0000 0.3626 0.0000
0.0000 0.5000 0.5000
0.0000 0.6374 0.0000
0.0000 0.7367 0.5000
0.5000 0.0000 0.0000
0.5000 0.1374 0.5000
0.5000 0.2367 0.0000
0.5000 0.7633 0.0000
0.5000 0.8626 0.5000
```